The following is a theoretical X-ray diffraction stick pattern of CsZnF3. It was derived from a PBE-relaxed structure, using Cu Kα (λ = 1.5418 Å).

Cell and atoms:
Lattice parameters (Å, degrees): 7.1580 7.1580 7.1580 47.71 47.71 47.71
Fractional positions:
Cs 0.1202 0.1202 0.1202
Cs 0.8798 0.8798 0.8798
Zn 0.3359 0.3359 0.3359
Zn 0.6641 0.6641 0.6641
F 0.0625 0.5689 0.5689
F 0.4311 0.4311 0.9375
F 0.4311 0.9375 0.4311
F 0.5689 0.0625 0.5689
F 0.5689 0.5689 0.0625
F 0.9375 0.4311 0.4311

Main lines, in order of falling intensity (2θ = 5–70°):
2θ 25.8, rel. 100; 2θ 30.9, rel. 76; 2θ 29.5, rel. 41; 2θ 53.8, rel. 37; 2θ 40.7, rel. 33; 2θ 52.0, rel. 30